Hf4AlRu5: computed powder X-ray diffraction pattern (Cu Kα (λ = 1.5418 Å)), based on the GGA-PBE geometry in Alexandria.
No peak broadening, texture or thermal motion is included.

Peak list (6 most intense, 15° ≤ 2θ ≤ 90°, by angle)
(hkl), 2θ (°), d_spacing, I/Imax
1 1 0, 39.7, 2.272, 54
1 0 5, 39.9, 2.258, 100
2 0 0, 57.4, 1.607, 19
2 1 5, 72.2, 1.309, 35
1 1 10, 72.7, 1.301, 15
2 0 10, 86.1, 1.129, 9

Cell and atoms:
```
10
Lattice="3.213 0.000 0.000 0.000 3.213 0.000 0.000 0.000 15.871" Properties=species:S:1:pos:R:3 pbc="T T T"
Hf 0.000 0.000 1.646
Hf 0.000 0.000 4.934
Hf 0.000 0.000 10.937
Hf 0.000 0.000 14.225
Al 0.000 0.000 7.936
Ru 1.607 1.607 0.000
Ru 1.607 1.607 3.237
Ru 1.607 1.607 6.475
Ru 1.607 1.607 9.396
Ru 1.607 1.607 12.634
```